# 1
Structure and computed powder X-ray diffraction pattern of KNbP2O8 (the GGA-PBE geometry in the Materials Project; Cu Kα).

Principal peaks in the range 10° ≤ 2θ ≤ 80°, by intensity:
- 2θ = 22.5°, rel. 100.0
- 2θ = 16.5°, rel. 75.5
- 2θ = 23.4°, rel. 60.8
- 2θ = 45.9°, rel. 39.7
- 2θ = 10.4°, rel. 33.1
- 2θ = 34.1°, rel. 25.4
- 2θ = 27.2°, rel. 23.0
- 2θ = 26.8°, rel. 21.5

Cell and atoms:
abc: 5.259 12.006 13.057
angles: 90.00 112.52 90.00
Space group P2_1/c (No. 14)
Inequivalent atoms, fractional coordinates:
K (0.185, 0.134, 0.447) (multiplicity 4)
Nb (0.412, 0.123, 0.169) (multiplicity 4)
P (0.105, 0.689, 0.848) (multiplicity 4)
P (0.115, 0.064, 0.865) (multiplicity 4)
O (0.055, 0.172, 0.786) (multiplicity 4)
O (0.075, 0.223, 0.124) (multiplicity 4)
O (0.136, 0.583, 0.911) (multiplicity 4)
O (0.167, 0.513, 0.652) (multiplicity 4)
O (0.271, 0.109, 0.979) (multiplicity 4)
O (0.276, 0.519, 0.323) (multiplicity 4)
O (0.381, 0.744, 0.861) (multiplicity 4)
O (0.482, 0.641, 0.187) (multiplicity 4)

---

# 2
Structure and computed powder X-ray diffraction pattern of Rb2LiGdCl6 (the GGA-PBE geometry in the Materials Project; Cu Kα).

Principal peaks in the range 10° ≤ 2θ ≤ 80°, by intensity:
- 2θ = 23.9°, rel. 100.0
- 2θ = 34.1°, rel. 90.3
- 2θ = 14.6°, rel. 64.9
- 2θ = 48.9°, rel. 60.6
- 2θ = 42.0°, rel. 46.7
- 2θ = 28.1°, rel. 45.3
- 2θ = 29.4°, rel. 32.8
- 2θ = 66.5°, rel. 24.8

Cell and atoms:
abc: 10.527 10.527 10.527
angles: 90.00 90.00 90.00
Space group Fm-3m (No. 225)
Inequivalent atoms, fractional coordinates:
Rb (0.250, 0.250, 0.250) (multiplicity 8)
Li (0.000, 0.000, 0.000) (multiplicity 4)
Gd (0.000, 0.000, 0.500) (multiplicity 4)
Cl (0.000, 0.000, 0.247) (multiplicity 24)

---

# 3
Structure and computed powder X-ray diffraction pattern of Hf2InNi2 (the GGA-PBE geometry in the Materials Project; Cu Kα).

Principal peaks in the range 10° ≤ 2θ ≤ 80°, by intensity:
- 2θ = 39.0°, rel. 100.0
- 2θ = 39.7°, rel. 48.2
- 2θ = 36.9°, rel. 38.2
- 2θ = 27.8°, rel. 27.6
- 2θ = 70.2°, rel. 17.4
- 2θ = 61.5°, rel. 17.2
- 2θ = 60.0°, rel. 15.6
- 2θ = 77.1°, rel. 13.8

Cell and atoms:
abc: 7.173 7.173 3.327
angles: 90.00 90.00 90.00
Space group P4/mbm (No. 127)
Inequivalent atoms, fractional coordinates:
Hf (0.166, 0.334, 0.000) (multiplicity 4)
In (0.000, 0.000, 0.500) (multiplicity 2)
Ni (0.126, 0.626, 0.500) (multiplicity 4)

---

# 4
Structure and computed powder X-ray diffraction pattern of Mg16Al12Zn (the GGA-PBE geometry in the Materials Project; Cu Kα).

Principal peaks in the range 10° ≤ 2θ ≤ 80°, by intensity:
- 2θ = 36.4°, rel. 100.0
- 2θ = 36.2°, rel. 72.9
- 2θ = 40.4°, rel. 41.6
- 2θ = 36.5°, rel. 35.0
- 2θ = 65.5°, rel. 18.0
- 2θ = 11.9°, rel. 17.0
- 2θ = 42.3°, rel. 14.0
- 2θ = 44.1°, rel. 13.5

Cell and atoms:
abc: 10.492 14.782 9.063
angles: 90.00 124.84 90.00
Space group Cm (No. 8)
Inequivalent atoms, fractional coordinates:
Mg (0.000, 0.000, 0.000) (multiplicity 2)
Mg (0.005, 0.000, 0.350) (multiplicity 2)
Mg (0.060, 0.344, 0.403) (multiplicity 4)
Mg (0.143, 0.500, 0.666) (multiplicity 2)
Mg (0.160, 0.158, 0.604) (multiplicity 4)
Mg (0.176, 0.174, 0.999) (multiplicity 4)
Mg (0.191, 0.500, 0.294) (multiplicity 2)
Mg (0.304, 0.299, 0.322) (multiplicity 4)
Mg (0.462, 0.136, 0.999) (multiplicity 4)
Mg (0.490, 0.193, 0.691) (multiplicity 4)
Al (0.007, 0.185, 0.190) (multiplicity 4)
Al (0.188, 0.000, 0.816) (multiplicity 2)
Al (0.235, 0.409, 0.012) (multiplicity 4)
Al (0.277, 0.092, 0.369) (multiplicity 4)
Al (0.322, 0.315, 0.822) (multiplicity 4)
Al (0.367, 0.000, 0.180) (multiplicity 2)
Al (0.411, 0.407, 0.639) (multiplicity 4)
Zn (0.369, 0.000, 0.687) (multiplicity 2)